Simulated PXRD pattern of AcGaCuNi2 for CuKα, from a structure optimized by DFT (GGA-PBE).
Kinematic intensities with the Lorentz-polarization factor, no thermal factor.

Lattice parameters (Å, degrees): 5.442 11.666 5.795 90.00 90.00 90.00
Space group Cmme (No. 67)
Asymmetric unit:
1 Ac 0.000 0.250 0.231
2 Ga 0.250 0.000 0.500
3 Cu 0.000 0.000 0.000
4 Ni 0.000 0.146 0.703

Principal peaks in the range 2θ = 5–70°, in order of rising 2θ:
2θ = 15.2°, intensity 25, hkl 0 2 0
2θ = 23.7°, intensity 41, hkl 1 1 1
2θ = 32.2°, intensity 100, hkl 1 3 1
2θ = 32.9°, intensity 40, hkl 2 0 0
2θ = 34.6°, intensity 87, hkl 0 2 2
2θ = 36.4°, intensity 42, hkl 2 2 0
2θ = 45.1°, intensity 65, hkl 1 5 1
2θ = 45.7°, intensity 29, hkl 2 0 2
2θ = 48.5°, intensity 26, hkl 2 2 2
2θ = 67.4°, intensity 29, hkl 3 5 1